Theoretical powder diffractogram
Compound: NdCl5
Radiation: Cu Kα (weighted mean of Kα1 and Kα2)
Structure: a DFT-relaxed cell (PBE, Alexandria)
Intensities are scaled so that the largest is 100.

Principal peaks in the range 10 to 90 degrees two-theta, most intense first:
2theta	d_spacing	I/Imax
19.03	4.663	100
25.67	3.470	93
18.71	4.742	84
18.33	4.841	78
16.15	5.487	61
21.57	4.120	60
31.47	2.843	49
32.64	2.744	41
33.61	2.666	38
42.66	2.119	34

Atomic structure:
```
data_NdCl5
_cell_length_a 4.204
_cell_length_b 5.492
_cell_length_c 9.686
_cell_angle_alpha 87.51
_cell_angle_beta 78.54
_cell_angle_gamma 89.60
_space_group_name_H-M_alt 'P 1'
_space_group_IT_number 1
_space_group_name_Hall 'P 1'
loop_
_atom_site_label
_atom_site_fract_x
_atom_site_fract_y
_atom_site_fract_z
_atom_site_occupancy
Nd1 0.000 0.000 0.000 1
Cl1 0.000 0.500 0.000 1
Cl2 0.100 0.373 0.434 1
Cl3 0.413 0.985 0.190 1
Cl4 0.587 0.015 0.810 1
Cl5 0.903 0.629 0.566 1
```